Entry 1:
Structure and theoretical powder diffraction line list of TePIr (DFT lattice parameters and positions (PBE); a wavelength of 1.5418 Å).
Intensities are scaled so that the largest is 100.

Structural model:
```
data_TePIr
_cell_length_a 6.1061
_cell_length_b 6.1101
_cell_length_c 12.3722
_cell_angle_alpha 90.00
_cell_angle_beta 90.00
_cell_angle_gamma 90.00
_space_group_name_H-M_alt 'P b c a'
_space_group_IT_number 61
_space_group_name_Hall '-P 2ac 2ab'
loop_
_atom_site_label
_atom_site_type_symbol
_atom_site_fract_x
_atom_site_fract_y
_atom_site_fract_z
_atom_site_occupancy
Te1 Te 0.1220 0.2064 0.0730 1
P1 P 0.1237 0.5496 0.8097 1
Ir1 Ir 0.0220 0.1801 0.8588 1
```

Largest 8 diffraction maxima, low angle first, 10° ≤ 2θ ≤ 90°:
hkl 1 1 2, 25.1°, intensity 65
hkl 0 0 4, 28.9°, intensity 57
hkl 0 2 0, 29.2°, intensity 100
hkl 2 1 0, 32.8°, intensity 57
hkl 1 1 4, 35.7°, intensity 65
hkl 2 0 4, 41.6°, intensity 50
hkl 1 3 1, 47.6°, intensity 46
hkl 3 1 2, 49.4°, intensity 61

Entry 2:
Structure and theoretical powder diffraction line list of Tm5P12Ir19 (DFT lattice parameters and positions (PBE); a wavelength of 1.5418 Å).
Intensities are scaled so that the largest is 100.

Structural model:
```
data_Tm5P12Ir19
_cell_length_a 12.7016
_cell_length_b 12.7016
_cell_length_c 3.9639
_cell_angle_alpha 90.00
_cell_angle_beta 90.00
_cell_angle_gamma 120.00
_space_group_name_H-M_alt 'P -6 2 m'
_space_group_IT_number 189
_space_group_name_Hall 'P -6 -2'
loop_
_atom_site_label
_atom_site_type_symbol
_atom_site_fract_x
_atom_site_fract_y
_atom_site_fract_z
_atom_site_occupancy
Tm1 Tm 0.0000 0.8151 0.0000 1
Tm2 Tm 0.3333 0.6667 0.5000 1
P1 P 0.0000 0.1775 0.5000 1
P2 P 0.0000 0.6430 0.5000 1
P3 P 0.1710 0.4826 0.0000 1
Ir1 Ir 0.0000 0.0000 0.5000 1
Ir2 Ir 0.0000 0.2836 0.0000 1
Ir3 Ir 0.0000 0.4628 0.5000 1
Ir4 Ir 0.1340 0.6393 0.0000 1
Ir5 Ir 0.1810 0.3738 0.5000 1
```

Largest 8 diffraction maxima, low angle first, 10° ≤ 2θ ≤ 90°:
hkl 2 2 0, 28.1°, intensity 20
hkl 2 1 1, 31.2°, intensity 10
hkl 2 2 1, 36.2°, intensity 100
hkl 3 1 1, 37.2°, intensity 15
hkl 0 0 2, 45.8°, intensity 19
hkl 6 0 0, 49.7°, intensity 16
hkl 6 0 2, 69.9°, intensity 11
hkl 2 2 3, 78.4°, intensity 11

Entry 3:
Structure and theoretical powder diffraction line list of IrPb (DFT lattice parameters and positions (PBE); a wavelength of 1.5418 Å).
Intensities are scaled so that the largest is 100.

Structural model:
```
data_IrPb
_cell_length_a 4.1979
_cell_length_b 4.1979
_cell_length_c 5.6757
_cell_angle_alpha 90.00
_cell_angle_beta 90.00
_cell_angle_gamma 120.00
_space_group_name_H-M_alt 'P 63/m m c'
_space_group_IT_number 194
_space_group_name_Hall '-P 6c 2c'
loop_
_atom_site_label
_atom_site_type_symbol
_atom_site_fract_x
_atom_site_fract_y
_atom_site_fract_z
_atom_site_occupancy
Ir1 Ir 0.0000 0.0000 0.0000 1
Pb1 Pb 0.3333 0.6667 0.2500 1
```

Largest 8 diffraction maxima, low angle first, 10° ≤ 2θ ≤ 90°:
hkl 1 0 0, 24.5°, intensity 16
hkl 1 0 1, 29.2°, intensity 87
hkl 1 0 2, 40.3°, intensity 100
hkl 1 1 0, 43.1°, intensity 76
hkl 2 0 1, 52.9°, intensity 17
hkl 2 0 2, 60.5°, intensity 31
hkl 2 1 2, 77.1°, intensity 31
hkl 1 1 4, 82.0°, intensity 25

Entry 4:
Structure and theoretical powder diffraction line list of Ir3Pb (DFT lattice parameters and positions (PBE); a wavelength of 1.5418 Å).
Intensities are scaled so that the largest is 100.

Structural model:
```
data_Ir3Pb
_cell_length_a 4.1224
_cell_length_b 4.1224
_cell_length_c 7.8323
_cell_angle_alpha 90.00
_cell_angle_beta 90.00
_cell_angle_gamma 90.00
_space_group_name_H-M_alt 'I 4/m m m'
_space_group_IT_number 139
_space_group_name_Hall '-I 4 2'
loop_
_atom_site_label
_atom_site_type_symbol
_atom_site_fract_x
_atom_site_fract_y
_atom_site_fract_z
_atom_site_occupancy
Ir1 Ir 0.0000 0.0000 0.0000 1
Ir2 Ir 0.0000 0.5000 0.2500 1
Pb1 Pb 0.0000 0.0000 0.5000 1
```

Largest 8 diffraction maxima, low angle first, 10° ≤ 2θ ≤ 90°:
hkl 1 1 2, 38.5°, intensity 100
hkl 2 0 0, 43.9°, intensity 35
hkl 0 0 4, 46.4°, intensity 15
hkl 2 2 0, 63.9°, intensity 12
hkl 2 0 4, 65.8°, intensity 21
hkl 3 1 2, 77.1°, intensity 27
hkl 1 1 6, 80.6°, intensity 12
hkl 2 2 4, 82.5°, intensity 12